# 1
The following is a theoretical X-ray powder pattern of Ca2Ru2O7. It was derived from a crystal structure in Alexandria, relaxed with GGA-PBE, using Cu Kα.

Cell and atoms:
Lattice parameters (Å, degrees): 10.296 10.296 10.296 90.00 90.00 90.00
Space group Fd-3m (No. 227, origin choice 2)
Inequivalent atoms, fractional coordinates:
1 Ca 0.000 0.000 0.000
2 Ru 0.000 0.000 0.500
3 O 0.068 0.375 0.875
4 O 0.125 0.125 0.125

The 6 most intense peaks (2θ from 5° to 70°), in order of rising 2θ:
- 14.9°, intensity 35
- 28.8°, intensity 24
- 30.1°, intensity 100
- 34.9°, intensity 24
- 50.1°, intensity 48
- 59.6°, intensity 40


# 2
The following is a theoretical X-ray powder pattern of Li2CdPd5. It was derived from a crystal structure in Alexandria, relaxed with GGA-PBE, using Cu Kα.

Cell and atoms:
Lattice parameters (Å, degrees): 6.275 6.275 6.261 90.00 90.00 90.00
Space group I4mm (No. 107)
Inequivalent atoms, fractional coordinates:
1 Li 0.000 0.500 0.000
2 Cd 0.000 0.000 0.499
3 Pd 0.000 0.000 0.000
4 Pd 0.250 0.250 0.249

The 6 most intense peaks (2θ from 5° to 70°), in order of rising 2θ:
- 20.0°, intensity 22
- 28.5°, intensity 12
- 35.1°, intensity 10
- 40.7°, intensity 100
- 54.8°, intensity 6
- 58.9°, intensity 11


# 3
The following is a theoretical X-ray powder pattern of Rb2HfSb2. It was derived from a crystal structure in Alexandria, relaxed with GGA-PBE, using Cu Kα.

Cell and atoms:
Lattice parameters (Å, degrees): 4.775 4.775 37.640 90.00 90.00 90.00
Space group I4_1/amd (No. 141, origin choice 2)
Inequivalent atoms, fractional coordinates:
1 Rb 0.000 0.250 0.045
2 Hf 0.000 0.250 0.375
3 Sb 0.000 0.250 0.166

The 6 most intense peaks (2θ from 5° to 70°), in order of rising 2θ:
- 9.4°, intensity 100
- 22.0°, intensity 53
- 28.4°, intensity 88
- 30.1°, intensity 61
- 37.7°, intensity 51
- 47.8°, intensity 42